Structure and calculated XRD peak list of Ba4NaZnIn2 (the GGA-PBE geometry in Alexandria; CuKα).
Kinematic intensities with the Lorentz-polarization factor, no thermal factor.

Atomic structure:
```
8
Lattice="3.031 1.750 9.919 -3.031 1.750 9.919 0.000 -3.500 9.919" Properties=species:S:1:pos:R:3 pbc="T T T"
Ba 0.000 0.000 3.516
Ba 0.000 0.000 10.975
Ba 0.000 0.000 18.783
Ba 0.000 0.000 26.241
Na 0.000 0.000 14.879
Zn 0.000 0.000 0.000
In 0.000 0.000 7.308
In 0.000 0.000 22.450
```

Largest 10 diffraction maxima, sorted by position, 10° ≤ 2θ ≤ 90°:
d = 4.953 Å, 2θ 17.91, intensity 6
d = 4.289 Å, 2θ 20.71, intensity 6
d = 3.033 Å, 2θ 29.45, intensity 100
d = 2.234 Å, 2θ 40.37, intensity 4
d = 2.145 Å, 2θ 42.13, intensity 18
d = 1.751 Å, 2θ 52.23, intensity 26
d = 1.750 Å, 2θ 52.28, intensity 10
d = 1.516 Å, 2θ 61.12, intensity 11
d = 1.356 Å, 2θ 69.28, intensity 14
d = 1.146 Å, 2θ 84.56, intensity 13